# 1
Theoretical X-ray powder pattern
Compound: La5NdIn2
Radiation: Cu Kα
Structure: DFT lattice parameters and positions (PBE)

The 8 most intense peaks (2θ from 10° to 80°), by intensity:
| (hkl) | Position (°2θ) | intensity |
| --- | --- | --- |
| 0 4 1 | 30.7 | 100.0 |
| 0 0 2 | 35.6 | 50.4 |
| 0 8 0 | 51.2 | 35.2 |
| 2 8 1 | 60.8 | 27.5 |
| 0 4 3 | 60.9 | 13.9 |
| 0 8 2 | 63.8 | 11.9 |
| 4 8 0 | 75.2 | 3.6 |
| 0 0 4 | 75.4 | 1.9 |

Structure:
Unit cell a=7.1484 b=14.2924 c=5.0427 alpha=90.00 beta=90.00 gamma=90.00
Space group Pbam (No. 55)
Inequivalent atoms, fractional coordinates:
La (0.0000, 0.0000, 0.0000)
La (0.0109, 0.2522, 0.0000)
La (0.2462, 0.8756, 0.5000)
Nd (0.0000, 0.5000, 0.0000)
In (0.2440, 0.6238, 0.5000)

=====

# 2
Theoretical X-ray powder pattern
Compound: La3NdInNi
Radiation: Cu Kα
Structure: DFT lattice parameters and positions (PBE)

The 10 most intense peaks (2θ from 10° to 80°), by intensity:
| (hkl) | Position (°2θ) | intensity |
| --- | --- | --- |
| 2 2 -1 | 30.4 | 100.0 |
| 4 0 -1 | 29.1 | 51.9 |
| 2 0 2 | 27.0 | 50.2 |
| 0 2 2 | 33.9 | 47.8 |
| 2 0 -3 | 36.7 | 40.3 |
| 4 2 1 | 39.2 | 33.5 |
| 6 2 -2 | 53.7 | 29.0 |
| 2 2 2 | 37.0 | 25.3 |
| 2 2 0 | 28.3 | 24.0 |
| 5 1 1 | 38.6 | 21.5 |

Structure:
Unit cell a=13.1448 b=7.1996 c=7.8013 alpha=90.00 beta=92.11 gamma=90.00
Space group C2/m (No. 12)
Inequivalent atoms, fractional coordinates:
La (0.1259, 0.2343, 0.4161)
La (0.2154, 0.0000, 0.8722)
Nd (0.0000, 0.2610, 0.0000)
In (0.1582, 0.5000, 0.7575)
Ni (0.0286, 0.0000, 0.6960)

=====

# 3
Theoretical X-ray powder pattern
Compound: La2PmNdIn2
Radiation: Cu Kα
Structure: DFT lattice parameters and positions (PBE)

The 10 most intense peaks (2θ from 10° to 80°), by intensity:
| (hkl) | Position (°2θ) | intensity |
| --- | --- | --- |
| 1 3 0 | 30.8 | 100.0 |
| 1 1 2 | 32.1 | 74.3 |
| 1 0 2 | 30.9 | 63.0 |
| 2 0 0 | 33.9 | 61.7 |
| 1 3 1 | 33.5 | 34.2 |
| 3 3 0 | 58.8 | 25.7 |
| 0 2 2 | 31.1 | 25.2 |
| 0 3 2 | 36.7 | 24.4 |
| 0 3 1 | 28.8 | 22.8 |
| 1 2 1 | 27.3 | 19.8 |

Structure:
Unit cell a=5.2892 b=10.4281 c=6.9046 alpha=90.00 beta=90.00 gamma=90.00
Space group Pmc2_1 (No. 26)
Inequivalent atoms, fractional coordinates:
La (0.0000, 0.0545, 0.0000)
La (0.5000, 0.1785, 0.2283)
Pm (0.0000, 0.3129, 0.6063)
Nd (0.5000, 0.4588, 0.8747)
In (0.0000, 0.3749, 0.1356)
In (0.5000, 0.1437, 0.7153)

=====

# 4
Theoretical X-ray powder pattern
Compound: LaPmNd2In4
Radiation: Cu Kα
Structure: DFT lattice parameters and positions (PBE)

The 8 most intense peaks (2θ from 10° to 80°), by intensity:
| (hkl) | Position (°2θ) | intensity |
| --- | --- | --- |
| 1 1 0 | 32.6 | 100.0 |
| 1 2 8 | 58.1 | 28.0 |
| 2 0 8 | 46.7 | 18.1 |
| 3 1 8 | 77.6 | 15.8 |
| 2 2 0 | 68.2 | 11.4 |
| 3 0 0 | 58.1 | 9.3 |
| 1 0 4 | 22.9 | 1.2 |
| 1 1 12 | 52.6 | 0.6 |

Structure:
Unit cell a=5.4958 b=5.4958 c=26.9753 alpha=90.00 beta=90.00 gamma=120.00
Space group R-3m (No. 166, hexagonal axes)
Inequivalent atoms, fractional coordinates:
La (0.0000, 0.0000, 0.0000)
Pm (0.0000, 0.0000, 0.5000)
Nd (0.0000, 0.0000, 0.2498)
In (0.0000, 0.0000, 0.1261)
In (0.0000, 0.0000, 0.3761)

=====

# 5
Theoretical X-ray powder pattern
Compound: La3Nd6Sm2In
Radiation: Cu Kα
Structure: DFT lattice parameters and positions (PBE)

The 10 most intense peaks (2θ from 10° to 80°), by intensity:
| (hkl) | Position (°2θ) | intensity |
| --- | --- | --- |
| 2 0 -2 | 30.1 | 100.0 |
| 1 3 -3 | 34.8 | 33.9 |
| 3 3 -5 | 59.6 | 28.2 |
| 3 3 -1 | 50.2 | 23.7 |
| 2 0 2 | 35.0 | 16.6 |
| 4 0 -4 | 62.6 | 12.1 |
| 0 6 0 | 50.1 | 12.0 |
| 3 3 3 | 59.8 | 10.3 |
| 2 6 -6 | 73.6 | 3.7 |
| 4 0 0 | 59.8 | 3.5 |

Structure:
Unit cell a=6.2868 b=10.9292 c=12.0529 alpha=90.00 beta=100.28 gamma=90.00
Space group C2/m (No. 12)
Inequivalent atoms, fractional coordinates:
La (0.0000, 0.0000, 0.0000)
La (0.0000, 0.3286, 0.0000)
Nd (0.2423, 0.3377, 0.7431)
Nd (0.2438, 0.5000, 0.2546)
Sm (0.0000, 0.1660, 0.5000)
In (0.0000, 0.5000, 0.5000)

=====

# 6
Theoretical X-ray powder pattern
Compound: La3Nd3In2Sn
Radiation: Cu Kα
Structure: DFT lattice parameters and positions (PBE)

The 10 most intense peaks (2θ from 10° to 80°), by intensity:
| (hkl) | Position (°2θ) | intensity |
| --- | --- | --- |
| 2 0 1 | 31.0 | 100.0 |
| 1 1 1 | 28.7 | 97.1 |
| 3 0 0 | 35.3 | 51.7 |
| 3 2 1 | 56.5 | 33.3 |
| 3 0 2 | 55.2 | 28.3 |
| 2 1 1 | 37.3 | 22.0 |
| 0 0 2 | 41.1 | 21.6 |
| 5 0 1 | 64.6 | 19.4 |
| 2 1 2 | 52.3 | 15.2 |
| 3 1 0 | 42.7 | 10.9 |

Structure:
Unit cell a=8.8191 b=8.8191 c=4.3942 alpha=90.00 beta=90.00 gamma=120.00
Space group P-62m (No. 189)
Inequivalent atoms, fractional coordinates:
La (0.0000, 0.7246, 0.0000)
Nd (0.0000, 0.3973, 0.5000)
In (0.3333, 0.6667, 0.0000)
Sn (0.0000, 0.0000, 0.5000)

=====

# 7
Theoretical X-ray powder pattern
Compound: LaIn6Ni6
Radiation: Cu Kα
Structure: DFT lattice parameters and positions (PBE)

The 10 most intense peaks (2θ from 10° to 80°), by intensity:
| (hkl) | Position (°2θ) | intensity |
| --- | --- | --- |
| 1 2 3 | 38.9 | 100.0 |
| 2 2 0 | 39.2 | 83.5 |
| 1 0 3 | 33.4 | 73.4 |
| 2 2 2 | 43.9 | 53.2 |
| 2 0 0 | 33.6 | 38.0 |
| 0 4 0 | 39.6 | 35.8 |
| 1 6 3 | 71.4 | 27.9 |
| 0 4 2 | 44.3 | 25.2 |
| 0 2 4 | 43.6 | 24.8 |
| 1 3 0 | 34.0 | 23.9 |

Structure:
Unit cell a=5.3311 b=9.1044 c=9.3220 alpha=90.00 beta=90.00 gamma=90.00
Space group Immm (No. 71)
Inequivalent atoms, fractional coordinates:
La (0.0000, 0.0000, 0.0000)
In (0.0000, 0.0000, 0.3445)
In (0.0000, 0.3351, 0.0000)
In (0.0000, 0.5000, 0.3150)
Ni (0.0000, 0.2634, 0.5000)
Ni (0.2500, 0.2500, 0.2500)

=====

# 8
Theoretical X-ray powder pattern
Compound: LaIn2Ni3
Radiation: Cu Kα
Structure: DFT lattice parameters and positions (PBE)

The 10 most intense peaks (2θ from 10° to 80°), by intensity:
| (hkl) | Position (°2θ) | intensity |
| --- | --- | --- |
| 2 0 1 | 30.1 | 100.0 |
| 3 0 1 | 39.1 | 84.3 |
| 2 2 1 | 43.8 | 64.4 |
| 2 2 0 | 38.3 | 64.3 |
| 2 1 1 | 35.7 | 63.1 |
| 0 0 2 | 41.5 | 58.6 |
| 2 2 2 | 57.8 | 37.5 |
| 3 0 0 | 33.0 | 33.5 |
| 4 2 1 | 64.2 | 21.3 |
| 4 0 0 | 44.5 | 17.8 |

Structure:
Unit cell a=9.4015 b=9.4015 c=4.3484 alpha=90.00 beta=90.00 gamma=120.00
Space group P-62m (No. 189)
Inequivalent atoms, fractional coordinates:
La (0.0000, 0.0000, 0.0000)
La (0.3333, 0.6667, 0.5000)
In (0.0000, 0.5010, 0.0000)
In (0.0000, 0.7295, 0.5000)
Ni (0.0000, 0.3007, 0.5000)
Ni (0.1686, 0.3557, 0.0000)

=====

# 9
Theoretical X-ray powder pattern
Compound: La4In16Ni3
Radiation: Cu Kα
Structure: DFT lattice parameters and positions (PBE)

The 10 most intense peaks (2θ from 10° to 80°), by intensity:
| (hkl) | Position (°2θ) | intensity |
| --- | --- | --- |
| 2 0 3 | 34.3 | 100.0 |
| 2 2 0 | 37.7 | 71.9 |
| 2 0 2 | 30.1 | 53.5 |
| 2 2 5 | 53.2 | 36.3 |
| 0 0 5 | 36.1 | 29.3 |
| 4 2 3 | 65.9 | 26.4 |
| 4 0 0 | 54.4 | 23.4 |
| 2 0 4 | 39.4 | 18.0 |
| 4 0 5 | 67.0 | 17.1 |
| 2 0 8 | 66.2 | 14.2 |

Structure:
Unit cell a=6.7480 b=6.7480 c=12.4328 alpha=90.00 beta=90.00 gamma=90.00
Space group P4/mmm (No. 123)
Inequivalent atoms, fractional coordinates:
La (0.0000, 0.5000, 0.1954)
In (0.0000, 0.0000, 0.1965)
In (0.2270, 0.2270, 0.0000)
In (0.2473, 0.2473, 0.3828)
In (0.5000, 0.5000, 0.2143)
Ni (0.0000, 0.5000, 0.5000)
Ni (0.5000, 0.5000, 0.0000)

=====

# 10
Theoretical X-ray powder pattern
Compound: LaIn6Ni3
Radiation: Cu Kα
Structure: DFT lattice parameters and positions (PBE)

The 10 most intense peaks (2θ from 10° to 80°), by intensity:
| (hkl) | Position (°2θ) | intensity |
| --- | --- | --- |
| 1 2 1 | 31.8 | 100.0 |
| 0 2 3 | 32.1 | 75.8 |
| 1 0 4 | 35.7 | 59.9 |
| 2 0 0 | 40.8 | 58.9 |
| 1 3 1 | 41.5 | 49.1 |
| 0 2 4 | 37.6 | 28.9 |
| 1 3 6 | 61.9 | 21.3 |
| 0 1 5 | 38.7 | 17.5 |
| 2 2 4 | 56.7 | 17.3 |
| 1 5 3 | 68.8 | 16.0 |

Structure:
Unit cell a=4.4206 b=7.6650 c=12.2232 alpha=90.00 beta=90.00 gamma=90.00
Space group Pmmn (No. 59, origin choice 2)
Inequivalent atoms, fractional coordinates:
La (0.2500, 0.2500, 0.1770)
In (0.2500, 0.0513, 0.9166)
In (0.2500, 0.2500, 0.4902)
In (0.2500, 0.5451, 0.6611)
In (0.2500, 0.7500, 0.2496)
Ni (0.2500, 0.5752, 0.4347)
Ni (0.2500, 0.7500, 0.0338)

=====

# 11
Theoretical X-ray powder pattern
Compound: La2In2Ni15
Radiation: Cu Kα
Structure: DFT lattice parameters and positions (PBE)

The 10 most intense peaks (2θ from 10° to 80°), by intensity:
| (hkl) | Position (°2θ) | intensity |
| --- | --- | --- |
| 0 3 3 | 42.4 | 100.0 |
| 2 2 0 | 42.2 | 93.0 |
| 3 0 0 | 36.3 | 70.5 |
| 0 2 4 | 37.5 | 58.9 |
| 2 2 3 | 47.7 | 52.1 |
| 2 1 4 | 43.2 | 43.7 |
| 6 0 0 | 77.1 | 35.6 |
| 1 0 4 | 30.8 | 34.3 |
| 0 0 6 | 43.1 | 32.6 |
| 3 2 4 | 61.9 | 31.5 |

Structure:
Unit cell a=8.5662 b=8.5662 c=12.6000 alpha=90.00 beta=90.00 gamma=120.00
Space group R-3m (No. 166, hexagonal axes)
Inequivalent atoms, fractional coordinates:
La (0.0000, 0.0000, 0.1453)
In (0.0000, 0.0000, 0.3935)
Ni (0.0000, 0.2990, 0.5000)
Ni (0.0000, 0.5000, 0.0000)
Ni (0.0016, 0.5008, 0.6549)

=====

# 12
Theoretical X-ray powder pattern
Compound: La3InNiS7
Radiation: Cu Kα
Structure: DFT lattice parameters and positions (PBE)

The 10 most intense peaks (2θ from 10° to 80°), by intensity:
| (hkl) | Position (°2θ) | intensity |
| --- | --- | --- |
| 2 0 1 | 24.6 | 100.0 |
| 2 2 0 | 35.6 | 40.4 |
| 2 0 2 | 34.6 | 32.5 |
| 2 0 3 | 47.2 | 22.1 |
| 3 0 1 | 33.8 | 21.4 |
| 4 0 1 | 43.8 | 16.6 |
| 2 2 2 | 45.7 | 14.9 |
| 2 1 2 | 39.1 | 14.4 |
| 0 0 2 | 27.7 | 13.5 |
| 1 1 2 | 33.0 | 13.1 |

Structure:
Unit cell a=10.0918 b=10.0918 c=6.4309 alpha=90.00 beta=90.00 gamma=120.00
Space group P6_3 (No. 173)
Inequivalent atoms, fractional coordinates:
La (0.1531, 0.7808, 0.0000)
In (0.3333, 0.6667, 0.5705)
Ni (0.0000, 0.0000, 0.1674)
S (0.0795, 0.5150, 0.7379)
S (0.0923, 0.8748, 0.4063)
S (0.3333, 0.6667, 0.1933)